Theoretical powder X-ray diffraction pattern of HfSnAsO for Cu Kα (weighted mean of Kα1 and Kα2), from a GGA-PBE-relaxed structure.

The 10 most intense peaks (2θ = 10–90°), low angle first:
2θ = 25.61°, d = 3.478 Å, intensity 100
2θ = 28.23°, d = 3.161 Å, intensity 75
2θ = 30.27°, d = 2.953 Å, intensity 35
2θ = 32.02°, d = 2.795 Å, intensity 94
2θ = 32.75°, d = 2.735 Å, intensity 64
2θ = 35.12°, d = 2.555 Å, intensity 44
2θ = 41.45°, d = 2.179 Å, intensity 57
2θ = 46.49°, d = 1.953 Å, intensity 82
2θ = 48.26°, d = 1.886 Å, intensity 35
2θ = 57.61°, d = 1.600 Å, intensity 35

Cell and atoms:
Unit cell a=3.903 b=7.666 c=5.590 alpha=90.00 beta=90.00 gamma=90.00
Sites, in units of the cell vectors:
Hf (0.000, 0.165, 0.000)
Hf (0.000, 0.835, 0.500)
Sn (0.500, 0.438, 0.519)
Sn (0.500, 0.562, 0.019)
As (0.000, 0.198, 0.500)
As (0.000, 0.802, 0.000)
O (0.500, 0.125, 0.001)
O (0.500, 0.875, 0.501)